No. 1
# TbDy4ErSe8
Computed X-ray diffraction stick pattern, Cu Kα. Input: the GGA-PBE geometry in Alexandria.
Peak positions follow from Bragg's law for the DFT cell and can differ from measured ones.

Structure:
```
data_TbDy4ErSe8
_chemical_formula_sum 'Tb3 Dy12 Er3 Se24'
_space_group_name_H-M_alt 'R 3 m'
_space_group_IT_number 160
_space_group_name_Hall 'R 3 -2"'
_cell_length_a 8.4123
_cell_length_b 8.4123
_cell_length_c 20.5804
_cell_angle_alpha 90.00
_cell_angle_beta 90.00
_cell_angle_gamma 120.00
loop_
_atom_site_label
_atom_site_type_symbol
_atom_site_fract_x
_atom_site_fract_y
_atom_site_fract_z
Tb1 Tb 0.0000 0.0000 0.0000
Dy1 Dy 0.0000 0.0000 0.7507
Dy2 Dy 0.9996 0.4998 0.8752
Er1 Er 0.0000 0.0000 0.3753
Se1 Se 0.0000 0.0000 0.1329
Se2 Se 0.0000 0.0000 0.6183
Se3 Se 0.0216 0.5108 0.1269
Se4 Se 0.1781 0.3562 0.9567
```

Main lines, low angle first (2θ = 10–80°):
Position (°2θ)	I_rel
21.13	27
24.83	98
30.06	49
39.37	50
43.03	100
78.84	24

No. 2
# Tb4DyErSe8
Computed X-ray diffraction stick pattern, Cu Kα. Input: the GGA-PBE geometry in Alexandria.
Peak positions follow from Bragg's law for the DFT cell and can differ from measured ones.

Structure:
```
data_Tb4DyErSe8
_chemical_formula_sum 'Tb12 Dy3 Er3 Se24'
_space_group_name_H-M_alt 'R 3 m'
_space_group_IT_number 160
_space_group_name_Hall 'R 3 -2"'
_cell_length_a 8.4331
_cell_length_b 8.4331
_cell_length_c 20.6236
_cell_angle_alpha 90.00
_cell_angle_beta 90.00
_cell_angle_gamma 120.00
loop_
_atom_site_label
_atom_site_type_symbol
_atom_site_fract_x
_atom_site_fract_y
_atom_site_fract_z
Tb1 Tb 0.0000 0.0000 0.0000
Tb2 Tb 0.9997 0.4998 0.8755
Dy1 Dy 0.0000 0.0000 0.7510
Er1 Er 0.0000 0.0000 0.3757
Se1 Se 0.0000 0.0000 0.1325
Se2 Se 0.0000 0.0000 0.6190
Se3 Se 0.0214 0.5107 0.1267
Se4 Se 0.1781 0.3562 0.9576
```

Main lines, low angle first (2θ = 10–80°):
Position (°2θ)	I_rel
21.08	27
24.77	97
29.99	49
39.27	50
42.92	100
78.62	24

No. 3
# Dy3ErTh4Se8
Computed X-ray diffraction stick pattern, Cu Kα. Input: the GGA-PBE geometry in Alexandria.
Peak positions follow from Bragg's law for the DFT cell and can differ from measured ones.

Structure:
```
data_Dy3ErTh4Se8
_chemical_formula_sum 'Dy9 Er3 Th12 Se24'
_space_group_name_H-M_alt 'R -3 m'
_space_group_IT_number 166
_space_group_name_Hall '-R 3 2"'
_cell_length_a 8.0632
_cell_length_b 8.0632
_cell_length_c 21.2944
_cell_angle_alpha 90.00
_cell_angle_beta 90.00
_cell_angle_gamma 120.00
loop_
_atom_site_label
_atom_site_type_symbol
_atom_site_fract_x
_atom_site_fract_y
_atom_site_fract_z
Dy1 Dy 0.0000 0.5000 0.0000
Er1 Er 0.0000 0.0000 0.0000
Th1 Th 0.0000 0.0000 0.5000
Th2 Th 0.0000 0.5000 0.5000
Se1 Se 0.0000 0.0000 0.2554
Se2 Se 0.0017 0.5008 0.7442
```

Main lines, low angle first (2θ = 10–80°):
Position (°2θ)	I_rel
26.87	23
30.62	100
42.72	40
44.97	35
55.39	19
70.73	18